# MnGaH2O
Simulated powder XRD pattern, CuKα. Input: a DFT-relaxed cell (PBE+U, Alexandria).
Lines closer than 0.1° are merged.

Structural model:
abc: 4.884 4.884 5.429
angles: 118.24 118.24 35.83
Fractional coordinates of all 5 atoms:
Mn 0.000 0.000 0.000
Ga 0.384 0.384 0.311
H 0.240 0.240 0.605
H 0.648 0.648 0.147
O 0.360 0.360 0.670

Peak list (10 most intense, 10 to 80 degrees two-theta, by angle)
18.84°, I = 40
22.04°, I = 100
31.78°, I = 28
33.17°, I = 41
34.14°, I = 75
35.80°, I = 35
41.96°, I = 31
42.08°, I = 28
45.26°, I = 43
45.73°, I = 27